Entry 1:
Simulated PXRD pattern
Compound: PmRe4N12
Radiation: CuKα
Structure: a cell relaxed with PBE
Lines closer than 0.1° are merged.

Main lines, by angle (2θ from 10° to 80°):
| 2θ/deg | d [Å] | Rel. int. |
| --- | --- | --- |
| 17.8 | 4.992 | 17 |
| 25.2 | 3.530 | 50 |
| 36.0 | 2.496 | 100 |
| 44.5 | 2.038 | 19 |
| 51.8 | 1.765 | 19 |
| 58.5 | 1.579 | 25 |
| 64.7 | 1.441 | 40 |
| 76.3 | 1.248 | 11 |

Lattice parameters (Å, degrees): 6.1141 6.1141 6.1141 109.47 109.47 109.47
Fractional positions:
Pm 0.0000 0.0000 0.0000
Re 0.0000 0.0000 0.5000
Re 0.0000 0.5000 0.0000
Re 0.5000 0.0000 0.0000
Re 0.5000 0.5000 0.5000
N 0.0969 0.3238 0.4207
N 0.0969 0.6762 0.7731
N 0.2269 0.9031 0.3238
N 0.3238 0.2269 0.9031
N 0.3238 0.4207 0.0969
N 0.4207 0.0969 0.3238
N 0.5793 0.9031 0.6762
N 0.6762 0.5793 0.9031
N 0.6762 0.7731 0.0969
N 0.7731 0.0969 0.6762
N 0.9031 0.3238 0.2269
N 0.9031 0.6762 0.5793

---

Entry 2:
Simulated PXRD pattern
Compound: PmSmReN4
Radiation: CuKα
Structure: a cell relaxed with PBE
Lines closer than 0.1° are merged.

Main lines, by angle (2θ from 10° to 80°):
| 2θ/deg | d [Å] | Rel. int. |
| --- | --- | --- |
| 14.2 | 6.231 | 13 |
| 31.5 | 2.841 | 100 |
| 32.5 | 2.753 | 57 |
| 43.1 | 2.099 | 13 |
| 46.7 | 1.947 | 26 |
| 55.4 | 1.658 | 17 |
| 57.4 | 1.606 | 38 |
| 65.7 | 1.420 | 12 |

Lattice parameters (Å, degrees): 3.8940 3.8940 12.4624 90.00 90.00 90.00
Fractional positions:
Pm 0.0000 0.0000 0.0000
Pm 0.5000 0.5000 0.5000
Sm 0.0000 0.0000 0.7078
Sm 0.5000 0.5000 0.2078
Re 0.0000 0.0000 0.3537
Re 0.5000 0.5000 0.8537
N 0.0000 0.0000 0.1869
N 0.0000 0.0000 0.5215
N 0.0000 0.5000 0.3536
N 0.0000 0.5000 0.8536
N 0.5000 0.0000 0.3536
N 0.5000 0.0000 0.8536
N 0.5000 0.5000 0.0215
N 0.5000 0.5000 0.6869

---

Entry 3:
Simulated PXRD pattern
Compound: Pm6Rh3N
Radiation: CuKα
Structure: a cell relaxed with PBE
Lines closer than 0.1° are merged.

Main lines, by angle (2θ from 10° to 80°):
| 2θ/deg | d [Å] | Rel. int. |
| --- | --- | --- |
| 29.2 | 3.061 | 100 |
| 29.6 | 3.021 | 70 |
| 30.1 | 2.970 | 38 |
| 30.3 | 2.945 | 58 |
| 30.8 | 2.899 | 74 |
| 32.7 | 2.736 | 98 |
| 38.9 | 2.313 | 39 |
| 45.6 | 1.991 | 44 |

Lattice parameters (Å, degrees): 6.7175 7.3921 11.8561 90.00 122.64 90.00
Fractional positions:
Pm 0.0969 0.0461 0.2359
Pm 0.0969 0.4539 0.7359
Pm 0.2319 0.6887 0.0734
Pm 0.2319 0.8113 0.5734
Pm 0.3675 0.1659 0.0612
Pm 0.3675 0.3341 0.5612
Pm 0.6325 0.6659 0.4388
Pm 0.6325 0.8341 0.9388
Pm 0.7681 0.1887 0.4266
Pm 0.7681 0.3113 0.9266
Pm 0.9031 0.5461 0.2641
Pm 0.9031 0.9539 0.7641
Rh 0.3050 0.1059 0.7676
Rh 0.3050 0.3941 0.2676
Rh 0.5000 0.0000 0.5000
Rh 0.5000 0.5000 0.0000
Rh 0.6950 0.6059 0.7324
Rh 0.6950 0.8941 0.2324
N 0.0000 0.0000 0.0000
N 0.0000 0.5000 0.5000

---

Entry 4:
Simulated PXRD pattern
Compound: Pm3S3N
Radiation: CuKα
Structure: a cell relaxed with PBE
Lines closer than 0.1° are merged.

Main lines, by angle (2θ from 10° to 80°):
| 2θ/deg | d [Å] | Rel. int. |
| --- | --- | --- |
| 25.7 | 3.468 | 69 |
| 26.7 | 3.341 | 42 |
| 27.2 | 3.280 | 100 |
| 31.2 | 2.864 | 22 |
| 32.1 | 2.788 | 22 |
| 34.3 | 2.616 | 30 |
| 38.5 | 2.340 | 45 |
| 45.5 | 1.992 | 38 |

Lattice parameters (Å, degrees): 12.2578 3.9856 13.1149 90.00 90.00 90.00
Fractional positions:
Pm 0.0449 0.2500 0.1468
Pm 0.0746 0.2500 0.6297
Pm 0.2166 0.2500 0.8637
Pm 0.2834 0.7500 0.3637
Pm 0.4254 0.7500 0.1297
Pm 0.4551 0.7500 0.6468
Pm 0.5449 0.2500 0.3532
Pm 0.5746 0.2500 0.8703
Pm 0.7166 0.2500 0.6363
Pm 0.7834 0.7500 0.1363
Pm 0.9254 0.7500 0.3703
Pm 0.9551 0.7500 0.8532
S 0.0876 0.2500 0.3943
S 0.1353 0.7500 0.9931
S 0.2266 0.7500 0.6942
S 0.2734 0.2500 0.1942
S 0.3647 0.2500 0.4931
S 0.4124 0.7500 0.8943
S 0.5876 0.2500 0.1057
S 0.6353 0.7500 0.5069
S 0.7266 0.7500 0.8058
S 0.7734 0.2500 0.3058
S 0.8647 0.2500 0.0069
S 0.9124 0.7500 0.6057
N 0.0409 0.2500 0.7984
N 0.4591 0.7500 0.2984
N 0.5409 0.2500 0.7016
N 0.9591 0.7500 0.2016

---

Entry 5:
Simulated PXRD pattern
Compound: Pm3S2N
Radiation: CuKα
Structure: a cell relaxed with PBE
Lines closer than 0.1° are merged.

Main lines, by angle (2θ from 10° to 80°):
| 2θ/deg | d [Å] | Rel. int. |
| --- | --- | --- |
| 22.1 | 4.014 | 71 |
| 23.3 | 3.815 | 39 |
| 27.4 | 3.256 | 100 |
| 28.4 | 3.148 | 73 |
| 32.1 | 2.784 | 67 |
| 37.5 | 2.396 | 46 |
| 40.3 | 2.239 | 55 |
| 52.4 | 1.745 | 50 |

Lattice parameters (Å, degrees): 8.0417 8.0417 5.5690 90.00 90.00 56.65
Fractional positions:
Pm 0.1498 0.8502 0.5000
Pm 0.1933 0.5357 0.0045
Pm 0.4643 0.8067 0.0045
Pm 0.5357 0.1933 0.5045
Pm 0.8067 0.4643 0.5045
Pm 0.8502 0.1498 0.0000
S 0.1321 0.5163 0.5030
S 0.4837 0.8679 0.5030
S 0.5163 0.1321 0.0030
S 0.8679 0.4837 0.0030
N 0.1526 0.8474 0.0152
N 0.8474 0.1526 0.5152

---

Entry 6:
Simulated PXRD pattern
Compound: Pm4Sb2SN2
Radiation: CuKα
Structure: a cell relaxed with PBE
Lines closer than 0.1° are merged.

Main lines, by angle (2θ from 10° to 80°):
| 2θ/deg | d [Å] | Rel. int. |
| --- | --- | --- |
| 13.8 | 6.433 | 23 |
| 26.4 | 3.372 | 40 |
| 27.7 | 3.217 | 42 |
| 28.7 | 3.106 | 41 |
| 31.1 | 2.880 | 100 |
| 32.3 | 2.774 | 41 |
| 36.8 | 2.442 | 46 |
| 43.3 | 2.089 | 24 |

Lattice parameters (Å, degrees): 7.8088 7.8088 8.0071 111.37 111.37 31.04
Fractional positions:
Pm 0.0262 0.0262 0.2826
Pm 0.2838 0.2838 0.3571
Pm 0.7162 0.7162 0.6429
Pm 0.9738 0.9738 0.7174
Sb 0.3944 0.3944 0.9592
Sb 0.6056 0.6056 0.0408
S 0.5000 0.5000 0.5000
N 0.1748 0.1748 0.4933
N 0.8252 0.8252 0.5067

---

Entry 7:
Simulated PXRD pattern
Compound: Pm5Sb2N
Radiation: CuKα
Structure: a cell relaxed with PBE
Lines closer than 0.1° are merged.

Main lines, by angle (2θ from 10° to 80°):
| 2θ/deg | d [Å] | Rel. int. |
| --- | --- | --- |
| 29.3 | 3.048 | 29 |
| 31.1 | 2.874 | 61 |
| 31.5 | 2.842 | 100 |
| 34.3 | 2.614 | 78 |
| 35.7 | 2.517 | 31 |
| 43.1 | 2.100 | 18 |
| 43.3 | 2.091 | 20 |
| 55.6 | 1.653 | 20 |

Lattice parameters (Å, degrees): 9.1682 8.1931 5.7837 79.96 61.64 38.40
Fractional positions:
Pm 0.0000 0.0000 0.0000
Pm 0.2229 0.5415 0.4585
Pm 0.4585 0.7771 0.2229
Pm 0.5415 0.2229 0.7771
Pm 0.7771 0.4585 0.5415
Sb 0.1944 0.1944 0.8056
Sb 0.8056 0.8056 0.1944
N 0.5000 0.5000 0.5000

---

Entry 8:
Simulated PXRD pattern
Compound: Pm4SnSbN
Radiation: CuKα
Structure: a cell relaxed with PBE
Lines closer than 0.1° are merged.

Main lines, by angle (2θ from 10° to 80°):
| 2θ/deg | d [Å] | Rel. int. |
| --- | --- | --- |
| 28.3 | 3.158 | 76 |
| 32.6 | 2.744 | 34 |
| 34.1 | 2.630 | 100 |
| 37.2 | 2.418 | 61 |
| 50.3 | 1.814 | 40 |
| 53.6 | 1.710 | 25 |
| 62.6 | 1.484 | 19 |
| 65.1 | 1.433 | 31 |

Lattice parameters (Å, degrees): 8.9153 8.9153 6.8348 90.00 90.00 134.88
Fractional positions:
Pm 0.0000 0.5000 0.0000
Pm 0.0000 0.5000 0.5000
Pm 0.0878 0.9122 0.7500
Pm 0.4117 0.5883 0.7500
Pm 0.5000 0.0000 0.0000
Pm 0.5000 0.0000 0.5000
Pm 0.5883 0.4117 0.2500
Pm 0.9122 0.0878 0.2500
Sn 0.1075 0.8925 0.2500
Sn 0.8925 0.1075 0.7500
Sb 0.3913 0.6087 0.2500
Sb 0.6087 0.3913 0.7500
N 0.2499 0.7501 0.7500
N 0.7501 0.2499 0.2500

---

Entry 9:
Simulated PXRD pattern
Compound: Pm2Y4Sb3N2
Radiation: CuKα
Structure: a cell relaxed with PBE
Lines closer than 0.1° are merged.

Main lines, by angle (2θ from 10° to 80°):
| 2θ/deg | d [Å] | Rel. int. |
| --- | --- | --- |
| 27.9 | 3.195 | 44 |
| 28.0 | 3.182 | 19 |
| 31.2 | 2.869 | 19 |
| 34.4 | 2.605 | 100 |
| 38.6 | 2.334 | 56 |
| 48.4 | 1.882 | 16 |
| 55.7 | 1.650 | 19 |
| 67.1 | 1.394 | 28 |

Lattice parameters (Å, degrees): 13.1492 13.1492 13.1492 159.55 159.55 29.08
Fractional positions:
Pm 0.1932 0.1932 0.0000
Pm 0.8068 0.8068 0.0000
Y 0.0828 0.5828 0.5000
Y 0.4172 0.9172 0.5000
Y 0.5828 0.0828 0.5000
Y 0.9172 0.4172 0.5000
Sb 0.3228 0.3228 0.0000
Sb 0.5000 0.5000 0.0000
Sb 0.6772 0.6772 0.0000
N 0.0988 0.0988 0.0000
N 0.9012 0.9012 0.0000

---

Entry 10:
Simulated PXRD pattern
Compound: Pm4Se3N2
Radiation: CuKα
Structure: a cell relaxed with PBE
Lines closer than 0.1° are merged.

Main lines, by angle (2θ from 10° to 80°):
| 2θ/deg | d [Å] | Rel. int. |
| --- | --- | --- |
| 25.4 | 3.505 | 58 |
| 28.2 | 3.165 | 16 |
| 29.9 | 2.986 | 100 |
| 36.0 | 2.498 | 40 |
| 41.0 | 2.204 | 19 |
| 43.1 | 2.100 | 30 |
| 44.7 | 2.029 | 18 |
| 52.1 | 1.756 | 18 |

Lattice parameters (Å, degrees): 7.1639 7.1639 10.6460 128.15 128.15 32.91
Fractional positions:
Pm 0.0585 0.0585 0.3507
Pm 0.2534 0.2534 0.1392
Pm 0.7466 0.7466 0.8608
Pm 0.9415 0.9415 0.6493
Se 0.3365 0.3365 0.7290
Se 0.5000 0.5000 0.5000
Se 0.6635 0.6635 0.2710
N 0.1500 0.1500 0.8616
N 0.8500 0.8500 0.1384

---

Entry 11:
Simulated PXRD pattern
Compound: Pm8Te4Se3N
Radiation: CuKα
Structure: a cell relaxed with PBE
Lines closer than 0.1° are merged.

Main lines, by angle (2θ from 10° to 80°):
| 2θ/deg | d [Å] | Rel. int. |
| --- | --- | --- |
| 29.6 | 3.022 | 100 |
| 32.2 | 2.783 | 13 |
| 41.8 | 2.161 | 30 |
| 42.8 | 2.114 | 36 |
| 52.9 | 1.732 | 17 |
| 58.4 | 1.580 | 9 |
| 61.4 | 1.511 | 9 |
| 70.3 | 1.340 | 14 |

Lattice parameters (Å, degrees): 8.6463 8.6463 8.6463 58.55 58.55 58.55
Fractional positions:
Pm 0.2405 0.2405 0.2405
Pm 0.2714 0.7155 0.7155
Pm 0.2845 0.2845 0.7286
Pm 0.2845 0.7286 0.2845
Pm 0.7155 0.2714 0.7155
Pm 0.7155 0.7155 0.2714
Pm 0.7286 0.2845 0.2845
Pm 0.7595 0.7595 0.7595
Te 0.0000 0.0000 0.0000
Te 0.0000 0.5000 0.5000
Te 0.5000 0.0000 0.5000
Te 0.5000 0.5000 0.0000
Se 0.0000 0.0000 0.5000
Se 0.0000 0.5000 0.0000
Se 0.5000 0.0000 0.0000
N 0.5000 0.5000 0.5000

---

Entry 12:
Simulated PXRD pattern
Compound: Pm7Si4N
Radiation: CuKα
Structure: a cell relaxed with PBE
Lines closer than 0.1° are merged.

Main lines, by angle (2θ from 10° to 80°):
| 2θ/deg | d [Å] | Rel. int. |
| --- | --- | --- |
| 24.2 | 3.681 | 63 |
| 25.1 | 3.553 | 100 |
| 34.5 | 2.599 | 73 |
| 35.2 | 2.552 | 28 |
| 35.7 | 2.516 | 60 |
| 36.3 | 2.475 | 35 |
| 44.1 | 2.054 | 34 |
| 51.4 | 1.777 | 19 |

Lattice parameters (Å, degrees): 8.0761 8.0761 10.6986 124.80 124.80 35.70
Fractional positions:
Pm 0.0000 0.0000 0.0000
Pm 0.1386 0.1386 0.5403
Pm 0.2871 0.2871 0.1425
Pm 0.4307 0.4307 0.7452
Pm 0.5693 0.5693 0.2548
Pm 0.7129 0.7129 0.8575
Pm 0.8614 0.8614 0.4597
Si 0.0804 0.0804 0.7821
Si 0.2227 0.2227 0.3445
Si 0.7773 0.7773 0.6555
Si 0.9196 0.9196 0.2179
N 0.5000 0.5000 0.0000

---

Copy entry 11 word for word.
Simulated PXRD pattern
Compound: Pm8Te4Se3N
Radiation: CuKα
Structure: a cell relaxed with PBE
Lines closer than 0.1° are merged.

Main lines, by angle (2θ from 10° to 80°):
| 2θ/deg | d [Å] | Rel. int. |
| --- | --- | --- |
| 29.6 | 3.022 | 100 |
| 32.2 | 2.783 | 13 |
| 41.8 | 2.161 | 30 |
| 42.8 | 2.114 | 36 |
| 52.9 | 1.732 | 17 |
| 58.4 | 1.580 | 9 |
| 61.4 | 1.511 | 9 |
| 70.3 | 1.340 | 14 |

Lattice parameters (Å, degrees): 8.6463 8.6463 8.6463 58.55 58.55 58.55
Fractional positions:
Pm 0.2405 0.2405 0.2405
Pm 0.2714 0.7155 0.7155
Pm 0.2845 0.2845 0.7286
Pm 0.2845 0.7286 0.2845
Pm 0.7155 0.2714 0.7155
Pm 0.7155 0.7155 0.2714
Pm 0.7286 0.2845 0.2845
Pm 0.7595 0.7595 0.7595
Te 0.0000 0.0000 0.0000
Te 0.0000 0.5000 0.5000
Te 0.5000 0.0000 0.5000
Te 0.5000 0.5000 0.0000
Se 0.0000 0.0000 0.5000
Se 0.0000 0.5000 0.0000
Se 0.5000 0.0000 0.0000
N 0.5000 0.5000 0.5000

---

Please write out number 2 again, unchanged.
Simulated PXRD pattern
Compound: PmSmReN4
Radiation: CuKα
Structure: a cell relaxed with PBE
Lines closer than 0.1° are merged.

Main lines, by angle (2θ from 10° to 80°):
| 2θ/deg | d [Å] | Rel. int. |
| --- | --- | --- |
| 14.2 | 6.231 | 13 |
| 31.5 | 2.841 | 100 |
| 32.5 | 2.753 | 57 |
| 43.1 | 2.099 | 13 |
| 46.7 | 1.947 | 26 |
| 55.4 | 1.658 | 17 |
| 57.4 | 1.606 | 38 |
| 65.7 | 1.420 | 12 |

Lattice parameters (Å, degrees): 3.8940 3.8940 12.4624 90.00 90.00 90.00
Fractional positions:
Pm 0.0000 0.0000 0.0000
Pm 0.5000 0.5000 0.5000
Sm 0.0000 0.0000 0.7078
Sm 0.5000 0.5000 0.2078
Re 0.0000 0.0000 0.3537
Re 0.5000 0.5000 0.8537
N 0.0000 0.0000 0.1869
N 0.0000 0.0000 0.5215
N 0.0000 0.5000 0.3536
N 0.0000 0.5000 0.8536
N 0.5000 0.0000 0.3536
N 0.5000 0.0000 0.8536
N 0.5000 0.5000 0.0215
N 0.5000 0.5000 0.6869